For La2Y7Th4, DFT lattice parameters and positions (GGA-PBE) gives the calculated powder diffractogram in this record (Cu Ka).

Peak list (10 most intense, 2θ = 10–80°, low angle first)
- 25.99°, rel. 21, (1 0 3)
- 29.13°, rel. 46, (1 1 0)
- 29.89°, rel. 38, (2 -1 1)
- 31.46°, rel. 39, (1 0 4)
- 32.08°, rel. 100, (1 1 2)
- 37.44°, rel. 16, (1 0 5)
- 51.64°, rel. 30, (3 0 0)
- 53.13°, rel. 17, (3 -1 4)
- 62.08°, rel. 21, (4 -2 2)
- 62.99°, rel. 15, (2 -1 8)

Crystal structure
Lattice parameters (Å, degrees): 6.1312 6.1312 13.4687 90.00 90.00 120.00
Positions (direct):
La: 0.3333 0.6667 0.0000
La: 0.6667 0.3333 0.0000
Y: 0.0000 0.0000 0.0000
Y: 0.0000 0.3622 0.7810
Y: 0.0000 0.6378 0.2190
Y: 0.3622 0.0000 0.7810
Y: 0.3622 0.3622 0.2190
Y: 0.6378 0.0000 0.2190
Y: 0.6378 0.6378 0.7810
Th: 0.0000 0.0000 0.3921
Th: 0.0000 0.0000 0.6079
Th: 0.3333 0.6667 0.5000
Th: 0.6667 0.3333 0.5000